1.
Ba4Sr2Sm2Co4O15: simulated PXRD pattern (copper Kα), based on the GGA+U geometry in the Materials Project.

Largest 8 diffraction maxima, in order of falling intensity, 10 to 90 degrees two-theta:
| d/Å | intensity | (hkl) |
| --- | --- | --- |
| 2.943 | 100 | 0 2 -2 |
| 2.937 | 49 | 0 4 2 |
| 2.857 | 38 | 2 0 2 |
| 2.847 | 35 | 2 0 -2 |
| 2.974 | 25 | 2 2 1 |
| 3.356 | 20 | -1 2 3 |
| 2.424 | 16 | 2 -3 0 |
| 2.417 | 15 | 2 3 3 |

```
data_Ba4Sr2Sm2Co4O15
_chemical_formula_sum 'Ba8 Sr4 Sm4 Co8 O30'
_cell_length_a 6.885
_cell_length_b 11.748
_cell_length_c 11.758
_cell_angle_alpha 60.19
_cell_angle_beta 89.70
_cell_angle_gamma 89.98
_space_group_name_H-M_alt 'P 1'
_space_group_IT_number 1
loop_
_space_group_symop_operation_xyz
'x,y,z'
loop_
_atom_site_label
_atom_site_type_symbol
_atom_site_fract_x
_atom_site_fract_y
_atom_site_fract_z
_atom_site_occupancy
Ba1 Ba 0.000 0.000 0.000 1
Ba2 Ba 0.001 0.004 0.523 1
Ba3 Ba 0.007 0.477 0.522 1
Ba4 Ba 0.180 0.490 0.014 1
Ba5 Ba 0.498 0.651 0.174 1
Ba6 Ba 0.501 0.171 0.175 1
Ba7 Ba 0.507 0.652 0.691 1
Ba8 Ba 0.694 0.160 0.682 1
Sr1 Sr 0.187 0.826 0.348 1
Sr2 Sr 0.339 0.301 0.399 1
Sr3 Sr 0.688 0.826 0.348 1
Sr4 Sr 0.843 0.778 0.871 1
Sm1 Sm 0.337 0.302 0.823 1
Sm2 Sm 0.338 0.877 0.823 1
Sm3 Sm 0.837 0.350 0.870 1
Sm4 Sm 0.840 0.350 0.299 1
Co1 Co 0.006 0.175 0.172 1
Co2 Co 0.009 0.652 0.171 1
Co3 Co 0.017 0.654 0.698 1
Co4 Co 0.162 0.161 0.682 1
Co5 Co 0.505 0.002 0.996 1
Co6 Co 0.508 0.004 0.524 1
Co7 Co 0.514 0.473 0.522 1
Co8 Co 0.637 0.495 0.012 1
O1 O 0.004 0.238 0.523 1
O2 O 0.009 0.241 0.764 1
O3 O 0.018 0.999 0.762 1
O4 O 0.126 0.223 0.282 1
O5 O 0.128 0.494 0.286 1
O6 O 0.134 0.222 0.011 1
O7 O 0.141 0.489 0.745 1
O8 O 0.156 0.764 0.019 1
O9 O 0.157 0.759 0.742 1
O10 O 0.331 0.079 0.846 1
O11 O 0.334 0.072 0.605 1
O12 O 0.337 0.325 0.607 1
O13 O 0.426 0.641 0.444 1
O14 O 0.427 0.922 0.166 1
O15 O 0.427 0.922 0.435 1
O16 O 0.501 0.656 0.932 1
O17 O 0.502 0.406 0.929 1
O18 O 0.515 0.408 0.180 1
O19 O 0.624 0.891 0.951 1
O20 O 0.625 0.889 0.681 1
O21 O 0.635 0.162 0.950 1
O22 O 0.641 0.427 0.684 1
O23 O 0.654 0.155 0.411 1
O24 O 0.655 0.431 0.414 1
O25 O 0.834 0.323 0.095 1
O26 O 0.836 0.572 0.105 1
O27 O 0.837 0.568 0.843 1
O28 O 0.925 0.731 0.531 1
O29 O 0.927 0.006 0.252 1
O30 O 0.929 0.740 0.254 1
```

2.
LiMn2OF5: simulated PXRD pattern (copper Kα), based on the GGA+U geometry in the Materials Project.

Largest 8 diffraction maxima, in order of falling intensity, 10 to 90 degrees two-theta:
| d/Å | intensity | (hkl) |
| --- | --- | --- |
| 3.657 | 100 | 0 1 3 |
| 2.953 | 77 | 1 1 3 |
| 2.999 | 67 | 1 1 -3 |
| 4.454 | 50 | 1 0 -2 |
| 1.737 | 47 | 2 2 0 |
| 2.237 | 42 | 1 1 -6 |
| 4.564 | 38 | 0 1 1 |
| 4.356 | 37 | 1 0 2 |

```
data_LiMn2OF5
_chemical_formula_sum 'Li4 Mn8 O4 F20'
_cell_length_a 5.120
_cell_length_b 4.732
_cell_length_c 17.293
_cell_angle_alpha 90.00
_cell_angle_beta 91.45
_cell_angle_gamma 90.00
_space_group_name_H-M_alt 'P 1 c 1'
_space_group_IT_number 7
loop_
_space_group_symop_operation_xyz
'x,y,z'
'x,-y,z+1/2'
loop_
_atom_site_label
_atom_site_type_symbol
_atom_site_fract_x
_atom_site_fract_y
_atom_site_fract_z
_atom_site_occupancy
Li1 Li 0.000 0.239 0.000 1
Li2 Li 0.505 0.260 0.229 1
Mn1 Mn 0.011 0.249 0.665 1
Mn2 Mn 0.018 0.260 0.329 1
Mn3 Mn 0.479 0.294 0.901 1
Mn4 Mn 0.503 0.268 0.556 1
O1 O 0.321 0.488 0.326 1
O2 O 0.338 0.494 0.983 1
F1 F 0.175 0.036 0.243 1
F2 F 0.184 0.039 0.568 1
F3 F 0.189 0.036 0.904 1
F4 F 0.338 0.487 0.651 1
F5 F 0.659 0.037 0.975 1
F6 F 0.663 0.039 0.638 1
F7 F 0.706 0.021 0.320 1
F8 F 0.816 0.487 0.901 1
F9 F 0.823 0.482 0.566 1
F10 F 0.836 0.477 0.240 1
```

3.
MgV4O6F4: simulated PXRD pattern (copper Kα), based on the GGA+U geometry in the Materials Project.

Largest 8 diffraction maxima, in order of falling intensity, 10 to 90 degrees two-theta:
| d/Å | intensity | (hkl) |
| --- | --- | --- |
| 4.312 | 100 | 1 -1 0 |
| 3.634 | 40 | 1 1 -1 |
| 6.347 | 33 | 0 0 1 |
| 4.993 | 31 | 1 0 0 |
| 2.852 | 24 | 0 2 -1 |
| 1.778 | 21 | 1 1 -4 |
| 3.173 | 21 | 0 0 2 |
| 2.471 | 20 | 1 -1 2 |

```
data_MgV4O6F4
_chemical_formula_sum 'Mg1 V4 O6 F4'
_cell_length_a 5.503
_cell_length_b 5.817
_cell_length_c 7.126
_cell_angle_alpha 104.61
_cell_angle_beta 109.26
_cell_angle_gamma 99.79
_space_group_name_H-M_alt 'P -1'
_space_group_IT_number 2
loop_
_space_group_symop_operation_xyz
'x,y,z'
'-x,-y,-z'
loop_
_atom_site_label
_atom_site_type_symbol
_atom_site_fract_x
_atom_site_fract_y
_atom_site_fract_z
_atom_site_occupancy
Mg1 Mg 0.000 0.000 0.000 1
V1 V 0.103 0.671 0.205 1
V2 V 0.307 0.860 0.776 1
O1 O 0.057 0.001 0.726 1
O2 O 0.156 0.370 0.077 1
O3 O 0.352 0.903 0.082 1
F1 F 0.174 0.508 0.706 1
F2 F 0.360 0.783 0.510 1
```

4.
Mn4Si4O13: simulated PXRD pattern (copper Kα), based on the GGA+U geometry in the Materials Project.

Largest 8 diffraction maxima, in order of falling intensity, 10 to 90 degrees two-theta:
| d/Å | intensity | (hkl) |
| --- | --- | --- |
| 2.965 | 100 | -2 1 1 |
| 2.986 | 66 | 0 2 -1 |
| 3.096 | 58 | 0 0 3 |
| 2.719 | 55 | 2 2 2 |
| 7.102 | 40 | 0 1 1 |
| 3.551 | 36 | 0 2 2 |
| 1.768 | 31 | 4 1 1 |
| 4.858 | 30 | 0 1 -1 |

```
data_Mn4Si4O13
_chemical_formula_sum 'Mn8 Si8 O26'
_cell_length_a 7.104
_cell_length_b 7.812
_cell_length_c 10.072
_cell_angle_alpha 67.41
_cell_angle_beta 84.14
_cell_angle_gamma 81.33
_space_group_name_H-M_alt 'P -1'
_space_group_IT_number 2
loop_
_space_group_symop_operation_xyz
'x,y,z'
'-x,-y,-z'
loop_
_atom_site_label
_atom_site_type_symbol
_atom_site_fract_x
_atom_site_fract_y
_atom_site_fract_z
_atom_site_occupancy
Mn1 Mn 0.051 0.074 0.120 1
Mn2 Mn 0.061 0.698 0.503 1
Mn3 Mn 0.430 0.940 0.879 1
Mn4 Mn 0.437 0.297 0.508 1
Si1 Si 0.059 0.335 0.789 1
Si2 Si 0.273 0.078 0.327 1
Si3 Si 0.281 0.637 0.786 1
Si4 Si 0.389 0.641 0.210 1
O1 O 0.100 0.947 0.340 1
O2 O 0.115 0.388 0.617 1
O3 O 0.124 0.115 0.896 1
O4 O 0.135 0.477 0.848 1
O5 O 0.169 0.638 0.187 1
O6 O 0.227 0.787 0.863 1
O7 O 0.230 0.210 0.422 1
O8 O 0.268 0.188 0.150 1
O9 O 0.276 0.728 0.609 1
O10 O 0.413 0.591 0.381 1
O11 O 0.446 0.845 0.100 1
O12 O 0.493 0.963 0.340 1
O13 O 0.495 0.531 0.832 1
```